(1)
# LaPr14Ho
Computed powder X-ray diffraction pattern, Cu Kα (weighted mean of Kα1 and Kα2). Input: a crystal structure in Alexandria, relaxed with PBE.
Peak positions follow from Bragg's law for the DFT cell and can differ from measured ones.

Structure:
```
LaPr14Ho
1.0
7.401 0.000 0.000
0.000 7.401 0.000
0.000 0.000 10.505
La Pr Ho
1 14 1
direct
0.000 0.000 0.000
0.000 0.000 0.500
0.000 0.500 0.000
0.000 0.500 0.500
0.252 0.252 0.248
0.252 0.252 0.752
0.252 0.748 0.248
0.252 0.748 0.752
0.500 0.000 0.000
0.500 0.000 0.500
0.500 0.500 0.500
0.748 0.252 0.248
0.748 0.252 0.752
0.748 0.748 0.248
0.748 0.748 0.752
0.500 0.500 0.000
```

The 10 most intense peaks (10 to 90 degrees two-theta), in order of rising 2θ:
2θ = 29.5°, intensity 100; 2θ = 34.1°, intensity 17; 2θ = 34.3°, intensity 34; 2θ = 49.2°, intensity 36; 2θ = 58.3°, intensity 15; 2θ = 58.5°, intensity 29; 2θ = 61.3°, intensity 13; 2θ = 79.7°, intensity 12; 2θ = 79.9°, intensity 6; 2θ = 82.4°, intensity 11



(2)
# La3Pr7Ho
Computed powder X-ray diffraction pattern, Cu Kα (weighted mean of Kα1 and Kα2). Input: a crystal structure in Alexandria, relaxed with PBE.
Peak positions follow from Bragg's law for the DFT cell and can differ from measured ones.

Structure:
```
La3Pr7Ho
1.0
6.561 -5.759 0.000
6.561 5.759 0.000
-2.789 0.000 5.377
La Pr Ho
3 7 1
direct
0.000 0.000 0.000
0.212 0.788 0.500
0.788 0.212 0.500
0.009 0.597 0.803
0.210 0.210 0.710
0.403 0.991 0.197
0.500 0.500 0.500
0.597 0.009 0.803
0.790 0.790 0.290
0.991 0.403 0.197
0.500 0.500 0.000
```

The 10 most intense peaks (10 to 90 degrees two-theta), in order of rising 2θ:
2θ = 24.2°, intensity 18; 2θ = 29.5°, intensity 72; 2θ = 30.7°, intensity 26; 2θ = 31.1°, intensity 33; 2θ = 31.5°, intensity 100; 2θ = 31.6°, intensity 76; 2θ = 43.1°, intensity 21; 2θ = 43.4°, intensity 26; 2θ = 53.6°, intensity 31; 2θ = 60.4°, intensity 17



(3)
# La8PrHo2
Computed powder X-ray diffraction pattern, Cu Kα (weighted mean of Kα1 and Kα2). Input: a crystal structure in Alexandria, relaxed with PBE.
Peak positions follow from Bragg's law for the DFT cell and can differ from measured ones.

Structure:
```
La8PrHo2
1.0
-2.895 4.187 8.211
2.895 -4.187 8.211
2.895 4.187 -8.211
La Pr Ho
8 1 2
direct
0.162 0.362 0.800
0.163 0.163 0.000
0.295 0.000 0.295
0.438 0.638 0.800
0.562 0.362 0.200
0.705 0.000 0.705
0.837 0.837 0.000
0.838 0.638 0.200
0.000 0.500 0.500
0.299 0.799 0.500
0.701 0.201 0.500
```

The 10 most intense peaks (10 to 90 degrees two-theta), in order of rising 2θ:
2θ = 28.7°, intensity 31; 2θ = 30.9°, intensity 37; 2θ = 31.0°, intensity 100; 2θ = 31.3°, intensity 18; 2θ = 32.5°, intensity 12; 2θ = 32.7°, intensity 14; 2θ = 55.0°, intensity 20; 2θ = 59.5°, intensity 13; 2θ = 60.7°, intensity 13; 2θ = 61.9°, intensity 12



(4)
# La3PrHo3
Computed powder X-ray diffraction pattern, Cu Kα (weighted mean of Kα1 and Kα2). Input: a crystal structure in Alexandria, relaxed with PBE.
Peak positions follow from Bragg's law for the DFT cell and can differ from measured ones.

Structure:
```
La3PrHo3
1.0
4.759 2.748 6.295
-4.759 2.748 6.295
0.000 -5.496 6.295
La Pr Ho
6 2 6
direct
0.126 0.836 0.270
0.164 0.730 0.874
0.270 0.126 0.836
0.730 0.874 0.164
0.836 0.270 0.126
0.874 0.164 0.730
0.409 0.409 0.409
0.591 0.591 0.591
0.025 0.446 0.310
0.310 0.025 0.446
0.446 0.310 0.025
0.554 0.690 0.975
0.690 0.975 0.554
0.975 0.554 0.690
```

The 10 most intense peaks (10 to 90 degrees two-theta), in order of rising 2θ:
2θ = 28.4°, intensity 45; 2θ = 29.0°, intensity 100; 2θ = 30.2°, intensity 22; 2θ = 34.5°, intensity 40; 2θ = 37.4°, intensity 67; 2θ = 44.4°, intensity 18; 2θ = 50.8°, intensity 30; 2θ = 57.0°, intensity 16; 2θ = 59.2°, intensity 34; 2θ = 61.7°, intensity 17



(5)
# LaPr4Ho2Sc
Computed powder X-ray diffraction pattern, Cu Kα (weighted mean of Kα1 and Kα2). Input: a crystal structure in Alexandria, relaxed with PBE.
Peak positions follow from Bragg's law for the DFT cell and can differ from measured ones.

Structure:
```
LaPr4Ho2Sc
1.0
5.110 0.000 0.000
0.000 5.130 0.000
0.000 0.000 10.172
La Pr Ho Sc
1 4 2 1
direct
0.000 0.000 0.000
0.000 0.500 0.250
0.000 0.500 0.750
0.500 0.000 0.250
0.500 0.000 0.750
0.000 0.000 0.500
0.500 0.500 0.500
0.500 0.500 0.000
```

The 10 most intense peaks (10 to 90 degrees two-theta), in order of rising 2θ:
2θ = 30.3°, intensity 100; 2θ = 35.0°, intensity 17; 2θ = 35.1°, intensity 17; 2θ = 35.3°, intensity 17; 2θ = 50.4°, intensity 12; 2θ = 50.5°, intensity 12; 2θ = 59.9°, intensity 14; 2θ = 60.1°, intensity 14; 2θ = 60.3°, intensity 14; 2θ = 63.0°, intensity 12



(6)
# LaPr2HoSe5
Computed powder X-ray diffraction pattern, Cu Kα (weighted mean of Kα1 and Kα2). Input: a crystal structure in Alexandria, relaxed with PBE.
Peak positions follow from Bragg's law for the DFT cell and can differ from measured ones.

Structure:
```
LaPr2HoSe5
1.0
5.136 0.000 0.000
0.000 5.136 0.000
0.000 0.000 11.066
La Pr Ho Se
1 2 1 5
direct
0.000 0.000 0.000
0.500 0.500 0.327
0.500 0.500 0.673
0.000 0.000 0.500
0.000 0.000 0.252
0.000 0.000 0.748
0.000 0.500 0.500
0.500 0.000 0.500
0.500 0.500 0.000
```

The 10 most intense peaks (10 to 90 degrees two-theta), in order of rising 2θ:
2θ = 23.6°, intensity 23; 2θ = 24.5°, intensity 100; 2θ = 29.8°, intensity 40; 2θ = 34.7°, intensity 47; 2θ = 34.9°, intensity 87; 2θ = 36.9°, intensity 36; 2θ = 46.6°, intensity 24; 2θ = 48.4°, intensity 25; 2θ = 50.2°, intensity 31; 2θ = 51.7°, intensity 28



(7)
# LaPr2SmHo
Computed powder X-ray diffraction pattern, Cu Kα (weighted mean of Kα1 and Kα2). Input: a crystal structure in Alexandria, relaxed with PBE.
Peak positions follow from Bragg's law for the DFT cell and can differ from measured ones.

Structure:
```
LaPr2SmHo
1.0
8.571 0.000 0.000
0.000 6.624 0.000
-0.574 0.000 6.331
La Pr Sm Ho
2 4 2 2
direct
0.000 0.000 0.000
0.000 0.000 0.500
0.311 0.310 0.220
0.311 0.690 0.720
0.689 0.310 0.280
0.689 0.690 0.780
0.000 0.435 0.750
0.000 0.565 0.250
0.500 0.165 0.750
0.500 0.835 0.250
```

The 10 most intense peaks (10 to 90 degrees two-theta), in order of rising 2θ:
2θ = 20.8°, intensity 41; 2θ = 27.6°, intensity 83; 2θ = 28.2°, intensity 62; 2θ = 28.9°, intensity 94; 2θ = 29.5°, intensity 100; 2θ = 31.3°, intensity 40; 2θ = 31.8°, intensity 59; 2θ = 33.9°, intensity 50; 2θ = 34.3°, intensity 49; 2θ = 43.0°, intensity 44



(8)
# La2PrSm6Ho3
Computed powder X-ray diffraction pattern, Cu Kα (weighted mean of Kα1 and Kα2). Input: a crystal structure in Alexandria, relaxed with PBE.
Peak positions follow from Bragg's law for the DFT cell and can differ from measured ones.

Structure:
```
La2PrSm6Ho3
1.0
3.146 -5.453 0.000
3.146 5.453 0.000
-2.103 0.000 11.856
La Pr Sm Ho
2 1 6 3
direct
0.167 0.833 0.000
0.833 0.167 0.000
0.500 0.500 0.000
0.081 0.414 0.744
0.253 0.253 0.256
0.414 0.081 0.744
0.586 0.919 0.256
0.747 0.747 0.744
0.919 0.586 0.256
0.000 0.000 0.500
0.333 0.667 0.500
0.667 0.333 0.500
```

The 10 most intense peaks (10 to 90 degrees two-theta), in order of rising 2θ:
2θ = 30.1°, intensity 100; 2θ = 34.9°, intensity 51; 2θ = 50.2°, intensity 36; 2θ = 59.7°, intensity 43; 2θ = 62.6°, intensity 12; 2θ = 73.8°, intensity 6; 2θ = 81.7°, intensity 15; 2θ = 81.8°, intensity 3; 2θ = 84.3°, intensity 13; 2θ = 84.4°, intensity 3